Structure and simulated X-ray powder pattern of La4NdDyHo2 (a crystal structure in Alexandria, relaxed with GGA-PBE; a wavelength of 1.5418 Å).

Peak list (6 most intense, 2θ = 5–70°, by intensity)
2theta, d/Å, I (rel.)
31.33, 2.855, 100.0
29.77, 3.001, 57.4
53.83, 1.703, 43.5
42.61, 2.122, 21.7
56.73, 1.623, 18.3
65.38, 1.427, 11.9

Structural model:
abc: 6.0017 6.0017 7.7162
angles: 90.00 90.00 90.00
Atoms (fractional coordinates):
La: 0.0000 0.5000 0.2424
La: 0.0000 0.5000 0.7576
La: 0.5000 0.0000 0.2424
La: 0.5000 0.0000 0.7576
Nd: 0.0000 0.0000 0.5000
Dy: 0.5000 0.5000 0.0000
Ho: 0.0000 0.0000 0.0000
Ho: 0.5000 0.5000 0.5000

=====

Structure and simulated X-ray powder pattern of In5Sn4Hg4 (a crystal structure in Alexandria, relaxed with GGA-PBE; a wavelength of 1.5418 Å).

Peak list (6 most intense, 2θ = 5–70°, by intensity)
2theta, d/Å, I (rel.)
32.81, 2.729, 100.0
33.04, 2.711, 98.4
35.01, 2.563, 40.4
35.41, 2.535, 40.2
43.66, 2.073, 27.4
57.42, 1.605, 20.1

Structural model:
abc: 9.3926 9.3926 12.9021
angles: 133.02 133.02 25.50
Atoms (fractional coordinates):
In: 0.0000 0.0000 0.0000
In: 0.3004 0.3004 0.8417
In: 0.4604 0.4604 0.7639
In: 0.5396 0.5396 0.2361
In: 0.6996 0.6996 0.1583
Sn: 0.0898 0.0898 0.4852
Sn: 0.3987 0.3987 0.3112
Sn: 0.6013 0.6013 0.6888
Sn: 0.9102 0.9102 0.5148
Hg: 0.1542 0.1542 0.9307
Hg: 0.2224 0.2224 0.3767
Hg: 0.7776 0.7776 0.6233
Hg: 0.8458 0.8458 0.0693